# 1
Calculated powder X-ray diffraction pattern of DyAlIr2 for CuKα, from a crystal structure in Alexandria, relaxed with GGA-PBE.

Top 10 peaks for 15° ≤ 2θ ≤ 90°, low angle first:
2theta  Rel. int.
20.1  14
28.6  13
32.8  9
38.8  100
40.9  43
52.6  10
59.2  15
68.7  19
73.1  32
83.2  11

Structure:
Cell lengths 4.4128, 4.4128, 3.4809 Å; angles 90.00, 90.00, 90.00 degrees
Fractional coordinates of all 4 atoms:
1 Dy 0.0000 0.0000 0.0000
2 Al 0.5000 0.5000 0.0000
3 Ir 0.0000 0.5000 0.5000
4 Ir 0.5000 0.0000 0.5000

# 2
Calculated powder X-ray diffraction pattern of Hg3SeBr4 for CuKα, from a crystal structure in Alexandria, relaxed with GGA-PBE.

Top 10 peaks for 15° ≤ 2θ ≤ 90°, low angle first:
2theta  Rel. int.
21.7  100
23.7  40
25.0  32
26.7  31
27.8  42
29.1  35
33.8  51
34.5  49
44.5  35
44.8  37

Structure:
Cell lengths 8.7731, 8.7731, 12.5174 Å; angles 120.72, 120.72, 47.15 degrees
Fractional coordinates of all 16 atoms:
1 Hg 0.0044 0.9956 0.5000
2 Hg 0.2250 0.4062 0.8860
3 Hg 0.4062 0.2250 0.3860
4 Hg 0.7162 0.7997 0.6689
5 Hg 0.7997 0.7162 0.1689
6 Hg 0.9956 0.0044 0.0000
7 Se 0.1059 0.6908 0.7954
8 Se 0.6908 0.1059 0.2954
9 Br 0.0057 0.1993 0.7417
10 Br 0.0171 0.6012 0.4209
11 Br 0.1901 0.5003 0.1199
12 Br 0.1993 0.0057 0.2417
13 Br 0.4488 0.6925 0.5033
14 Br 0.5003 0.1901 0.6199
15 Br 0.6012 0.0171 0.9209
16 Br 0.6925 0.4488 0.0033

# 3
Calculated powder X-ray diffraction pattern of CsScZnO3 for CuKα, from a crystal structure in Alexandria, relaxed with GGA-PBE.

Top 10 peaks for 15° ≤ 2θ ≤ 90°, low angle first:
2theta  Rel. int.
19.4  78
22.2  40
26.3  100
28.9  52
33.7  72
34.9  61
36.1  37
40.2  43
40.7  34
43.0  48

Structure:
Cell lengths 7.8059, 3.4194, 8.6214 Å; angles 90.00, 112.00, 90.00 degrees
Fractional coordinates of all 12 atoms:
1 Cs 0.2303 0.2500 0.2428
2 Cs 0.7697 0.7500 0.7572
3 Sc 0.3397 0.7500 0.8770
4 Sc 0.6603 0.2500 0.1230
5 Zn 0.0905 0.2500 0.6187
6 Zn 0.9095 0.7500 0.3813
7 O 0.1583 0.2500 0.8599
8 O 0.1815 0.7500 0.5608
9 O 0.4823 0.7500 0.1239
10 O 0.5177 0.2500 0.8761
11 O 0.8185 0.2500 0.4392
12 O 0.8417 0.7500 0.1401

# 4
Calculated powder X-ray diffraction pattern of Dy3Ho2Ru3 for CuKα, from a crystal structure in Alexandria, relaxed with GGA-PBE.

Top 10 peaks for 15° ≤ 2θ ≤ 90°, low angle first:
2theta  Rel. int.
27.9  19
34.9  13
35.2  36
35.9  100
41.1  10
50.4  9
53.0  10
63.7  19
65.2  12
72.3  14

Structure:
Cell lengths 10.7411, 10.7411, 10.7411 Å; angles 161.48, 152.57, 33.30 degrees
Fractional coordinates of all 8 atoms:
1 Dy 0.0000 0.0000 0.0000
2 Dy 0.3893 0.8893 0.5000
3 Dy 0.6107 0.1107 0.5000
4 Ho 0.2189 0.2189 0.0000
5 Ho 0.7811 0.7811 0.0000
6 Ru 0.1153 0.6153 0.5000
7 Ru 0.5000 0.5000 0.0000
8 Ru 0.8847 0.3847 0.5000